Starting from a structure optimized by DFT (GGA-PBE), the XRD peak list of Tm2TlHg5 was computed for Cu Ka.
Neutral-atom scattering factors, no anomalous dispersion.

Structural model:
Cell: 6.4628 12.9334 4.6469 Å, 90.00 90.00 90.00°
Sites, in units of the cell vectors:
Tm1 0.2416 0.1262 0.0000
Tm2 0.2584 0.6262 0.0000
Tm3 0.7416 0.3738 0.0000
Tm4 0.7584 0.8738 0.0000
Tl1 0.0000 0.5000 0.5000
Tl2 0.5000 0.0000 0.5000
Hg1 0.0000 0.0000 0.5000
Hg2 0.0064 0.7518 0.5000
Hg3 0.2470 0.3742 0.0000
Hg4 0.2530 0.8742 0.0000
Hg5 0.4936 0.2517 0.5000
Hg6 0.5000 0.5000 0.5000
Hg7 0.5064 0.7482 0.5000
Hg8 0.7470 0.1258 0.0000
Hg9 0.7530 0.6258 0.0000
Hg10 0.9936 0.2482 0.5000

The 10 most intense peaks (2θ from 10° to 90°), in order of rising 2θ:
Position (°2θ)  I_rel
33.78  100
38.76  17
39.42  33
56.48  23
56.98  11
66.99  14
67.91  27
71.05  12
83.15  2
84.84  4